# Ba2NdPbSe5
Computed X-ray powder pattern, Cu Kα, 1.54184 Å. Input: a DFT-relaxed cell (PBE, Alexandria).
Intensities are scaled so that the largest is 100.

Most intense lines, 2θ = 5–70°, low angle first:
| two_theta | intensity |
| --- | --- |
| 24.2 | 49 |
| 24.4 | 24 |
| 28.4 | 100 |
| 29.1 | 74 |
| 33.7 | 23 |
| 36.9 | 30 |
| 40.3 | 40 |
| 40.9 | 28 |
| 43.9 | 24 |
| 50.4 | 32 |

Structural model:
Lattice parameters (Å, degrees): 4.4804 18.9215 13.6150 90.00 90.00 90.00
Space group Cmc2_1 (No. 36)
Inequivalent atoms, fractional coordinates:
Ba 0.0000 0.1138 0.0000 (multiplicity 4)
Ba 0.0000 0.1388 0.6236 (multiplicity 4)
Nd 0.0000 0.2115 0.3296 (multiplicity 4)
Pb 0.0000 0.4672 0.7684 (multiplicity 4)
Se 0.0000 0.0530 0.3914 (multiplicity 4)
Se 0.0000 0.2855 0.9725 (multiplicity 4)
Se 0.0000 0.3189 0.6848 (multiplicity 4)
Se 0.0000 0.3643 0.3135 (multiplicity 4)
Se 0.0000 0.4894 0.0733 (multiplicity 4)